Sr3V3Bi2O14: calculated powder diffraction line list (Cu Kα, 1.54184 Å), based on the GGA+U geometry in the Materials Project.

Principal peaks in the range 2θ from 15° to 90°, by intensity:
3.335 Å, 26.7 deg, I = 100, hkl 1 0 -4
3.291 Å, 27.1 deg, I = 95, hkl 2 0 0
3.116 Å, 28.7 deg, I = 58, hkl 0 2 1
3.012 Å, 29.7 deg, I = 53, hkl 1 -2 3
2.857 Å, 31.3 deg, I = 51, hkl 1 0 4
5.559 Å, 15.9 deg, I = 42, hkl 1 0 1
3.348 Å, 26.6 deg, I = 37, hkl 1 -2 2
2.875 Å, 31.1 deg, I = 36, hkl -2 2 1

Cell and atoms:
Lattice parameters (Å, degrees): 7.1218 7.3085 14.2999 99.12 96.84 109.85
Sites, in units of the cell vectors:
1 Sr 0.2271 0.1674 0.4419
2 Sr 0.2547 0.6846 0.6690
3 Sr 0.2584 0.0887 0.9424
4 Sr 0.7416 0.9113 0.0576
5 Sr 0.7453 0.3154 0.3310
6 Sr 0.7729 0.8326 0.5581
7 V 0.2078 0.6533 0.4168
8 V 0.2625 0.6095 0.9319
9 V 0.2730 0.1662 0.7052
10 V 0.7270 0.8338 0.2948
11 V 0.7375 0.3905 0.0681
12 V 0.7922 0.3467 0.5832
13 Bi 0.2289 0.8798 0.1854
14 Bi 0.2703 0.3678 0.1981
15 Bi 0.7297 0.6322 0.8019
16 Bi 0.7711 0.1202 0.8146
17 O 0.0176 0.3438 0.5529
18 O 0.0650 0.1494 0.7597
19 O 0.1234 0.0707 0.1025
20 O 0.1227 0.3821 0.9543
21 O 0.1292 0.6706 0.8395
22 O 0.1407 0.4105 0.3422
23 O 0.1839 0.0063 0.5939
24 O 0.2947 0.8392 0.3523
25 O 0.3363 0.8141 0.0311
26 O 0.3660 0.1780 0.2752
27 O 0.3905 0.6821 0.5151
28 O 0.4110 0.0700 0.7812
29 O 0.4148 0.4118 0.7001
30 O 0.4989 0.6131 0.9060
31 O 0.5011 0.3869 0.0940
32 O 0.5852 0.5882 0.2999
33 O 0.5890 0.9300 0.2188
34 O 0.6095 0.3179 0.4849
35 O 0.6340 0.8220 0.7248
36 O 0.6637 0.1859 0.9689
37 O 0.7053 0.1608 0.6477
38 O 0.8161 0.9937 0.4061
39 O 0.8593 0.5895 0.6578
40 O 0.8708 0.3294 0.1605
41 O 0.8773 0.6179 0.0457
42 O 0.8766 0.9293 0.8975
43 O 0.9350 0.8506 0.2403
44 O 0.9824 0.6562 0.4471